Structure and simulated XRD peak list of Ac2La3Tl4 (DFT lattice parameters and positions (GGA-PBE); Cu Kα (weighted mean of Kα1 and Kα2)).
Neutral-atom scattering factors, no anomalous dispersion.

The 8 most intense peaks (10° ≤ 2θ ≤ 90°), in order of rising 2θ:
h k l, 2theta, d [Å], intensity
1 2 1, 26.5, 3.368, 41
2 1 -2, 27.6, 3.231, 57
2 2 -1, 28.7, 3.107, 100
1 1 2, 29.1, 3.066, 99
1 2 -2, 29.5, 3.027, 41
3 0 0, 31.6, 2.835, 42
0 3 1, 32.0, 2.794, 67
1 1 -3, 33.7, 2.660, 74

Unit cell a=8.8982 b=8.9478 c=8.3589 alpha=90.00 beta=107.13 gamma=90.00
Positions (direct):
Ac 0.1853 0.1840 0.0636
Ac 0.1853 0.3160 0.5636
Ac 0.8147 0.6840 0.4364
Ac 0.8147 0.8160 0.9364
La 0.2398 0.6642 0.2507
La 0.2398 0.8358 0.7507
La 0.5000 0.0000 0.5000
La 0.5000 0.5000 0.0000
La 0.7602 0.1642 0.2493
La 0.7602 0.3358 0.7493
Tl 0.0846 0.5387 0.8561
Tl 0.0846 0.9613 0.3561
Tl 0.4938 0.1308 0.8721
Tl 0.4938 0.3692 0.3721
Tl 0.5062 0.6308 0.6279
Tl 0.5062 0.8692 0.1279
Tl 0.9154 0.0387 0.6439
Tl 0.9154 0.4613 0.1439